Diffraction record for ZrBrCl2. The PXRD pattern is simulated, not measured: it uses a structure optimized by DFT (PBE) and a wavelength of 1.5418 Å.

Principal peaks in the range 2θ = 10–90°, by angle:
(hkl)	Position (°2θ)	I/Imax
0 2 0	15.03	262
0 1 1	15.23	1000
1 3 1	30.12	526
1 0 2	30.43	242
0 2 2	30.74	111
2 2 0	32.91	247
2 3 1	39.59	384
2 0 2	39.84	202
2 2 2	42.81	104
0 6 0	46.20	118
0 3 3	46.86	225
0 7 1	56.33	106

Structure:
```
data_ZrBrCl2
_cell_length_a 6.1470
_cell_length_b 11.7893
_cell_length_c 6.6867
_cell_angle_alpha 90.00
_cell_angle_beta 90.00
_cell_angle_gamma 90.00
_space_group_name_H-M_alt 'A m m 2'
_space_group_IT_number 38
loop_
_space_group_symop_operation_xyz
'x,y,z'
'-x,-y,z'
'-x,y,z'
'x,-y,z'
'x,y+1/2,z+1/2'
'-x,-y+1/2,z+1/2'
'-x,y+1/2,z+1/2'
'x,-y+1/2,z+1/2'
loop_
_atom_site_label
_atom_site_fract_x
_atom_site_fract_y
_atom_site_fract_z
Zr1 0.2413 0.0000 0.0000
Br1 0.5000 0.1624 0.1640
Cl1 0.0000 0.0000 0.3095
Cl2 0.0000 0.1518 0.8416
Cl3 0.5000 0.0000 0.6963
```